Computed powder diffractogram
Compound: Si4BiO10
Radiation: Cu Kα X-rays
Structure: DFT lattice parameters and positions (PBE)

Lattice parameters (Å, degrees): 7.562 7.562 16.886 90.00 90.00 90.00
Fractional coordinates of all 60 atoms:
Si 0.012 0.074 0.158
Si 0.012 0.426 0.658
Si 0.074 0.012 0.658
Si 0.074 0.488 0.158
Si 0.426 0.012 0.158
Si 0.426 0.488 0.658
Si 0.488 0.074 0.658
Si 0.488 0.426 0.158
Si 0.512 0.574 0.842
Si 0.512 0.926 0.342
Si 0.574 0.512 0.342
Si 0.574 0.988 0.842
Si 0.926 0.512 0.842
Si 0.926 0.988 0.342
Si 0.988 0.574 0.342
Si 0.988 0.926 0.842
Bi 0.250 0.250 0.455
Bi 0.250 0.250 0.955
Bi 0.750 0.750 0.045
Bi 0.750 0.750 0.545
O 0.006 0.214 0.640
O 0.006 0.286 0.140
O 0.019 0.126 0.402
O 0.019 0.374 0.902
O 0.039 0.539 0.250
O 0.039 0.961 0.750
O 0.126 0.019 0.902
O 0.126 0.481 0.402
O 0.214 0.006 0.140
O 0.214 0.494 0.640
O 0.286 0.006 0.640
O 0.286 0.494 0.140
O 0.374 0.019 0.402
O 0.374 0.481 0.902
O 0.461 0.539 0.750
O 0.461 0.961 0.250
O 0.481 0.126 0.902
O 0.481 0.374 0.402
O 0.494 0.214 0.140
O 0.494 0.286 0.640
O 0.506 0.714 0.360
O 0.506 0.786 0.860
O 0.519 0.626 0.598
O 0.519 0.874 0.098
O 0.539 0.039 0.750
O 0.539 0.461 0.250
O 0.626 0.519 0.098
O 0.626 0.981 0.598
O 0.714 0.506 0.860
O 0.714 0.994 0.360
O 0.786 0.506 0.360
O 0.786 0.994 0.860
O 0.874 0.519 0.598
O 0.874 0.981 0.098
O 0.961 0.039 0.250
O 0.961 0.461 0.750
O 0.981 0.626 0.098
O 0.981 0.874 0.598
O 0.994 0.714 0.860
O 0.994 0.786 0.360

Largest 8 diffraction maxima, by angle, 2θ = 5–70°:
2theta, Rel. int., index
16.58, 95, 1 1 0
19.65, 85, 1 1 2
24.14, 100, 1 0 4
25.82, 79, 2 0 2
28.43, 49, 2 1 2
33.98, 66, 1 0 6
41.75, 34, 2 1 6
48.47, 43, 3 2 4